Record 1
# MnB4O16
Computed XRD peak list, Cu Kα (λ = 1.5418 Å). Input: a DFT-relaxed cell (GGA+U, the Materials Project).

The 8 most intense peaks (2θ from 5° to 70°), by angle:
2theta, I/Imax
13.74, 537
14.02, 676
15.70, 1000
17.99, 984
18.77, 825
23.36, 773
23.70, 563
25.73, 593

Crystal structure
a = 7.4838 Å, b = 8.3367 Å, c = 9.8476 Å
α = 92.73°, β = 104.29°, γ = 108.49°
Space group P-1 (No. 2)
Symmetry-distinct sites (fractional):
Mn 0.1145 0.3591 0.2506
B 0.2323 0.1907 0.7414
B 0.3131 0.0223 0.5897
B 0.4785 0.6788 0.3013
B 0.4951 0.2756 0.9382
O 0.0295 0.8414 0.8740
O 0.0363 0.7772 0.2649
O 0.0501 0.5599 0.7406
O 0.1238 0.8472 0.1826
O 0.1538 0.2270 0.3773
O 0.1669 0.0384 0.6502
O 0.1821 0.3734 0.0908
O 0.2722 0.1749 0.2048
O 0.2764 0.8630 0.5218
O 0.2929 0.1929 0.8867
O 0.3256 0.3383 0.6880
O 0.3528 0.5318 0.3488
O 0.3876 0.6902 0.1531
O 0.4119 0.5869 0.5764
O 0.4225 0.6826 0.9198
O 0.4853 0.1581 0.6081


Record 2
# MnBO3
Computed XRD peak list, Cu Kα (λ = 1.5418 Å). Input: a DFT-relaxed cell (GGA+U, the Materials Project).

The 8 most intense peaks (2θ from 5° to 70°), by angle:
2theta, I/Imax
24.73, 715
25.41, 357
30.79, 797
33.47, 1000
37.91, 284
43.46, 288
53.31, 259
54.44, 263

Crystal structure
a = 4.5875 Å, b = 4.7607 Å, c = 5.5564 Å
α = 69.55°, β = 65.64°, γ = 61.28°
Space group P1 (No. 1)
Symmetry-distinct sites (fractional):
Mn 0.0000 0.0000 0.0000
Mn 0.4997 0.4999 0.4998
B 0.2337 0.2531 0.2491
B 0.7650 0.7505 0.7494
O 0.0612 0.4665 0.7342
O 0.2364 0.9690 0.2335
O 0.4608 0.7509 0.7490
O 0.5381 0.2528 0.2493
O 0.7615 0.0355 0.7653
O 0.9371 0.5377 0.2648


Record 3
# MnBO3
Computed XRD peak list, Cu Kα (λ = 1.5418 Å). Input: a DFT-relaxed cell (GGA+U, the Materials Project).

The 8 most intense peaks (2θ from 5° to 70°), by angle:
2theta, I/Imax
24.93, 609
32.57, 1000
38.33, 204
42.57, 269
46.27, 240
53.68, 408
54.09, 198
69.32, 207

Crystal structure
a = 4.6969 Å, b = 4.6969 Å, c = 14.9225 Å
α = 90.00°, β = 90.00°, γ = 120.00°
Space group R-3c (No. 167, hexagonal axes)
Symmetry-distinct sites (fractional):
Mn 0.0000 0.0000 0.0000
B 0.0000 0.0000 0.2500
O 0.0000 0.2953 0.2500


Record 4
# Mn3B2O6
Computed XRD peak list, Cu Kα (λ = 1.5418 Å). Input: a DFT-relaxed cell (GGA+U, the Materials Project).

The 8 most intense peaks (2θ from 5° to 70°), by angle:
2theta, I/Imax
21.45, 283
24.47, 201
31.90, 1000
34.26, 377
38.07, 530
50.16, 309
52.35, 411
57.35, 238

Crystal structure
a = 4.6933 Å, b = 5.7552 Å, c = 8.8180 Å
α = 90.00°, β = 90.00°, γ = 90.00°
Space group Pnnm (No. 58)
Symmetry-distinct sites (fractional):
Mn 0.0000 0.0000 0.0000
Mn 0.0000 0.5000 0.1878
B 0.0383 0.2431 0.5000
O 0.1885 0.2878 0.3654
O 0.2468 0.8181 0.5000


Record 5
# MnBO3
Computed XRD peak list, Cu Kα (λ = 1.5418 Å). Input: a DFT-relaxed cell (GGA+U, the Materials Project).

The 8 most intense peaks (2θ from 5° to 70°), by angle:
2theta, I/Imax
24.70, 524
24.83, 523
25.30, 513
31.51, 1000
32.92, 786
33.12, 786
38.21, 382
54.90, 311

Crystal structure
a = 4.7155 Å, b = 5.6039 Å, c = 7.4723 Å
α = 74.89°, β = 87.67°, γ = 88.37°
Space group P-1 (No. 2)
Symmetry-distinct sites (fractional):
Mn 0.0000 0.0000 0.0000
Mn 0.0000 0.0000 0.5000
Mn 0.5000 0.5000 0.0000
Mn 0.5000 0.5000 0.5000
B 0.0164 0.5095 0.2618
B 0.4786 0.0011 0.7575
O 0.1511 0.6463 0.0997
O 0.1756 0.3734 0.4056
O 0.1860 0.0053 0.7643
O 0.2774 0.5042 0.7286
O 0.3682 0.1637 0.1082
O 0.3759 0.8389 0.3884


Record 6
# MnB2O4
Computed XRD peak list, Cu Kα (λ = 1.5418 Å). Input: a DFT-relaxed cell (GGA+U, the Materials Project).

The 8 most intense peaks (2θ from 5° to 70°), by angle:
2theta, I/Imax
23.27, 601
23.57, 276
33.22, 1000
34.53, 822
35.38, 544
47.58, 296
48.24, 266
49.58, 264

Crystal structure
a = 7.1795 Å, b = 7.5483 Å, c = 8.8876 Å
α = 90.00°, β = 94.07°, γ = 90.00°
Space group P2_1/c (No. 14)
Symmetry-distinct sites (fractional):
Mn 0.0034 0.2129 0.3742
Mn 0.4684 0.7444 0.6443
B 0.1822 0.0675 0.1379
B 0.2061 0.5637 0.3686
B 0.3017 0.1008 0.6201
B 0.3118 0.5976 0.8843
O 0.0103 0.5039 0.3279
O 0.1677 0.2483 0.5828
O 0.2220 0.7483 0.3072
O 0.2301 0.5580 0.0313
O 0.2600 0.5584 0.5308
O 0.2968 0.0617 0.2859
O 0.3241 0.0567 0.7833
O 0.4889 0.1570 0.5784


Record 7
# MnB4O16
Computed XRD peak list, Cu Kα (λ = 1.5418 Å). Input: a DFT-relaxed cell (GGA+U, the Materials Project).

The 8 most intense peaks (2θ from 5° to 70°), by angle:
2theta, I/Imax
9.84, 560
15.34, 1000
19.20, 478
19.86, 901
21.92, 751
22.38, 782
22.92, 497
25.81, 587

Crystal structure
a = 7.4251 Å, b = 9.8094 Å, c = 9.8969 Å
α = 77.55°, β = 68.69°, γ = 88.89°
Space group P-1 (No. 2)
Symmetry-distinct sites (fractional):
Mn 0.2317 0.1976 0.3932
B 0.1623 0.0772 0.9828
B 0.2772 0.4462 0.7209
B 0.3663 0.2496 0.6122
B 0.4305 0.2581 0.8313
O 0.0112 0.2160 0.4843
O 0.0663 0.9923 0.1229
O 0.1051 0.0895 0.8612
O 0.2045 0.5772 0.6986
O 0.2187 0.6454 0.2428
O 0.2264 0.7983 0.7533
O 0.2441 0.5689 0.3511
O 0.2521 0.0642 0.3243
O 0.2555 0.6756 0.7977
O 0.2623 0.3684 0.6224
O 0.3191 0.1560 0.9646
O 0.3222 0.3340 0.2639
O 0.3545 0.3956 0.8258
O 0.3624 0.1714 0.5115
O 0.3743 0.7364 0.1360
O 0.4764 0.2084 0.6961


Record 8
# MnBO3
Computed XRD peak list, Cu Kα (λ = 1.5418 Å). Input: a DFT-relaxed cell (GGA+U, the Materials Project).

The 8 most intense peaks (2θ from 5° to 70°), by angle:
2theta, I/Imax
21.15, 1000
31.60, 110
32.56, 97
36.22, 434
37.06, 160
47.77, 175
52.79, 144
54.39, 179

Crystal structure
a = 8.4025 Å, b = 8.4025 Å, c = 3.0730 Å
α = 90.00°, β = 90.00°, γ = 120.00°
Space group P-6 (No. 174)
Symmetry-distinct sites (fractional):
Mn 0.0417 0.7010 0.0000
B 0.0000 0.0000 0.5000
B 0.3333 0.6667 0.5000
B 0.6667 0.3333 0.0000
O 0.0543 0.8698 0.5000
O 0.1487 0.6165 0.5000
O 0.4806 0.2603 0.0000


Please write out number 7 again, unchanged.
# MnB4O16
Computed XRD peak list, Cu Kα (λ = 1.5418 Å). Input: a DFT-relaxed cell (GGA+U, the Materials Project).

The 8 most intense peaks (2θ from 5° to 70°), by angle:
2theta, I/Imax
9.84, 560
15.34, 1000
19.20, 478
19.86, 901
21.92, 751
22.38, 782
22.92, 497
25.81, 587

Crystal structure
a = 7.4251 Å, b = 9.8094 Å, c = 9.8969 Å
α = 77.55°, β = 68.69°, γ = 88.89°
Space group P-1 (No. 2)
Symmetry-distinct sites (fractional):
Mn 0.2317 0.1976 0.3932
B 0.1623 0.0772 0.9828
B 0.2772 0.4462 0.7209
B 0.3663 0.2496 0.6122
B 0.4305 0.2581 0.8313
O 0.0112 0.2160 0.4843
O 0.0663 0.9923 0.1229
O 0.1051 0.0895 0.8612
O 0.2045 0.5772 0.6986
O 0.2187 0.6454 0.2428
O 0.2264 0.7983 0.7533
O 0.2441 0.5689 0.3511
O 0.2521 0.0642 0.3243
O 0.2555 0.6756 0.7977
O 0.2623 0.3684 0.6224
O 0.3191 0.1560 0.9646
O 0.3222 0.3340 0.2639
O 0.3545 0.3956 0.8258
O 0.3624 0.1714 0.5115
O 0.3743 0.7364 0.1360
O 0.4764 0.2084 0.6961